Tb2CdAu6: simulated X-ray powder pattern (copper Kα), based on a crystal structure in Alexandria, relaxed with PBE.
Peak positions follow from Bragg's law for the DFT cell and can differ from measured ones.

Main lines, sorted by position (2θ = 10–90°):
| Position (°2θ) | I (rel.) |
| --- | --- |
| 24.82 | 22 |
| 32.38 | 79 |
| 34.84 | 84 |
| 36.04 | 100 |
| 38.24 | 43 |
| 40.60 | 28 |
| 43.25 | 51 |
| 44.67 | 45 |
| 60.23 | 23 |
| 73.14 | 35 |

Crystal structure
a = 7.569 Å, b = 7.569 Å, c = 4.057 Å
α = 90.00°, β = 90.00°, γ = 123.43°
Sites, in units of the cell vectors:
Tb 0.208 0.792 0.000
Tb 0.792 0.208 0.000
Cd 0.000 0.000 0.500
Au 0.154 0.449 0.500
Au 0.296 0.296 0.000
Au 0.449 0.154 0.500
Au 0.551 0.846 0.500
Au 0.704 0.704 0.000
Au 0.846 0.551 0.500